[1]
The following is a computed PXRD pattern of NaLi2VF6. It was derived from DFT lattice parameters and positions (GGA+U), using λ = 1.5418 Å (Cu Kα).
No peak broadening, texture or thermal motion is included.

Cell and atoms:
```
NaLi2VF6
1.0
0.0000 4.0962 4.0962
4.0962 0.0000 4.0962
4.0962 4.0962 0.0000
Na Li V F
1 2 1 6
Cartesian
0.0000 0.0000 0.0000 Na
2.0481 2.0481 2.0481 Li
6.1444 6.1444 6.1444 Li
4.0962 4.0962 4.0962 V
4.0962 4.0962 2.1611 F
4.0962 2.1611 4.0962 F
6.0314 4.0962 4.0962 F
2.1611 4.0962 4.0962 F
4.0962 6.0314 4.0962 F
4.0962 4.0962 6.0314 F
```

Largest 8 diffraction maxima, sorted by position, 5° ≤ 2θ ≤ 70°:
2θ = 18.76°, intensity 23; 2θ = 21.70°, intensity 100; 2θ = 30.87°, intensity 15; 2θ = 38.05°, intensity 7; 2θ = 44.22°, intensity 48; 2θ = 49.77°, intensity 33; 2θ = 64.32°, intensity 24; 2θ = 68.75°, intensity 13



[2]
The following is a computed PXRD pattern of Mg2Mo3O8. It was derived from DFT lattice parameters and positions (GGA+U), using λ = 1.5418 Å (Cu Kα).
No peak broadening, texture or thermal motion is included.

Cell and atoms:
```
Mg2Mo3O8
1.0
6.2796 0.0000 0.0000
-3.1398 5.4383 0.0000
0.0000 0.0000 9.4914
Mg Mo O
4 6 16
Cartesian
0.0000 3.6255 0.0000 Mg
0.0000 3.6255 3.6868 Mg
3.1398 1.8128 4.7457 Mg
3.1398 1.8128 8.4325 Mg
0.0000 1.7860 6.3779 Mo
-1.5931 4.5453 6.3779 Mo
1.5467 0.8930 1.6322 Mo
1.5931 4.5453 6.3779 Mo
4.7329 0.8930 1.6322 Mo
3.1398 3.6523 1.6322 Mo
0.0000 0.0000 0.5472 O
0.0000 0.0000 5.2929 O
-1.3908 2.8225 5.1767 O
0.0000 1.8475 2.5404 O
-1.5398 4.5145 2.5404 O
0.0000 3.6255 7.5091 O
1.6000 0.9238 7.2861 O
1.3908 2.8225 5.1767 O
0.0000 5.2315 5.1767 O
3.1398 0.2067 0.4310 O
1.7489 2.6158 0.4310 O
1.5398 4.5145 2.5404 O
3.1398 1.8128 2.7634 O
4.6796 0.9238 7.2861 O
3.1398 3.5908 7.2861 O
4.5306 2.6158 0.4310 O
```

Largest 8 diffraction maxima, sorted by position, 5° ≤ 2θ ≤ 70°:
2θ = 18.70°, intensity 86; 2θ = 18.81°, intensity 33; 2θ = 24.90°, intensity 20; 2θ = 34.29°, intensity 100; 2θ = 38.14°, intensity 28; 2θ = 43.91°, intensity 42; 2θ = 58.82°, intensity 29; 2θ = 59.38°, intensity 31